For FeHg2F6, a GGA+U-relaxed structure gives the simulated powder diffractogram in this record (copper Kα).
Peak positions follow from Bragg's law for the DFT cell and can differ from measured ones.

Top 12 peaks for 2θ = 5–70°, by intensity:
hkl 1 1 2, 28.82 deg, I 100; hkl 1 1 0, 21.14 deg, I 70; hkl 1 0 1, 17.82 deg, I 42; hkl 0 1 3, 32.94 deg, I 32; hkl 0 0 2, 19.36 deg, I 30; hkl 2 1 3, 45.26 deg, I 28; hkl 2 2 0, 43.05 deg, I 26; hkl 0 2 0, 29.98 deg, I 24; hkl 1 2 5, 61.41 deg, I 23; hkl 3 1 2, 52.75 deg, I 22; hkl 1 3 2, 52.51 deg, I 22; hkl 1 0 5, 52.19 deg, I 21

Crystal structure
Unit cell a=5.9246 b=5.9612 c=9.1714 alpha=90.00 beta=90.00 gamma=90.00
Positions (direct):
Fe  0.0000  0.0000  0.0000
Fe  0.5000  0.5000  0.5000
Hg  0.0000  0.5000  0.2075
Hg  0.0000  0.5000  0.7925
Hg  0.5000  0.0000  0.2925
Hg  0.5000  0.0000  0.7075
F  0.1761  0.2769  0.0000
F  0.1899  0.8609  0.1538
F  0.1899  0.8609  0.8462
F  0.3101  0.3609  0.3462
F  0.3101  0.3609  0.6538
F  0.3239  0.7769  0.5000
F  0.6761  0.2231  0.5000
F  0.6899  0.6391  0.3462
F  0.6899  0.6391  0.6538
F  0.8101  0.1391  0.1538
F  0.8101  0.1391  0.8462
F  0.8239  0.7231  0.0000